This entry pairs a crystal structure of Ho4Ge8Rh with its computed powder diffraction line list. Radiation: Cu Kα (λ = 1.5418 Å). Structure: a GGA-PBE-relaxed structure.

Structural model:
```
13
Lattice="4.014 0.000 0.000 0.000 4.116 0.000 0.000 0.000 16.178" Properties=species:S:1:pos:R:3 pbc="T T T"
Ho 0.000 0.000 0.000
Ho 0.000 2.058 7.891
Ho 2.007 0.000 12.771
Ho 2.007 2.058 4.609
Ge 0.000 0.000 5.356
Ge 0.000 0.000 10.053
Ge 0.000 2.058 2.269
Ge 0.000 2.058 13.837
Ge 2.007 0.000 2.345
Ge 2.007 0.000 7.056
Ge 2.007 2.058 10.035
Ge 2.007 2.058 15.469
Rh 0.000 2.058 11.415
```

Principal peaks in the range 10 to 80 degrees two-theta, sorted by position:
- hkl 1 0 2, 2θ 24.76, I 14
- hkl 0 0 6, 2θ 33.23, I 13
- hkl 0 1 5, 2θ 35.28, I 22
- hkl 1 1 3, 2θ 35.39, I 100
- hkl 1 0 6, 2θ 40.29, I 16
- hkl 0 2 0, 2θ 44.00, I 20
- hkl 2 0 0, 2θ 45.17, I 19
- hkl 1 2 6, 2θ 61.18, I 10
- hkl 2 2 0, 2θ 64.90, I 13
- hkl 1 3 3, 2θ 75.28, I 13